Structure and computed PXRD pattern of Li3V4O8 (a cell relaxed with PBE+U; copper Kα).

Top 8 peaks for 2θ = 10–80°, sorted by position:
17.50 deg, d 5.068, intensity 72, (0 0 2)
18.26 deg, d 4.858, intensity 100, (1 0 -1)
18.32 deg, d 4.842, intensity 40, (1 1 1)
35.16 deg, d 2.553, intensity 32, (2 1 2)
42.39 deg, d 2.132, intensity 49, (2 0 2)
42.63 deg, d 2.121, intensity 48, (0 2 4)
42.70 deg, d 2.117, intensity 47, (2 2 -2)
62.98 deg, d 1.476, intensity 27, (4 2 0)

```
Li3V4O8
1.0
5.901 0.000 0.000
2.926 5.131 0.000
0.038 3.362 10.137
Li V O
6 8 16
Cartesian
1.512 0.866 0.345
4.414 5.969 2.534
4.387 5.944 4.722
4.478 2.550 5.414
4.451 2.524 7.602
7.354 7.628 9.792
1.482 4.247 5.068
2.958 5.086 7.591
4.428 7.652 7.606
2.951 3.404 2.537
4.414 2.566 0.000
5.914 5.090 7.600
4.438 0.842 2.531
5.907 3.407 2.546
1.419 2.646 3.762
2.844 5.046 3.730
1.554 4.301 8.623
3.011 6.744 8.746
2.919 3.425 6.456
4.374 5.875 6.578
3.051 1.765 1.345
4.491 4.156 1.316
4.374 4.337 8.821
5.814 6.728 8.792
4.492 2.618 3.559
5.947 5.069 3.681
5.854 1.750 1.390
7.311 4.193 1.513
6.022 3.448 6.407
7.447 5.848 6.375
```